(1)
Diffraction record for LaBMo. The powder X-ray diffraction pattern is calculated, not measured: it uses a cell relaxed with GGA-PBE and Cu Kα.

Crystal structure
```
data_LaBMo
_cell_length_a 4.604
_cell_length_b 3.279
_cell_length_c 7.507
_cell_angle_alpha 90.00
_cell_angle_beta 99.46
_cell_angle_gamma 90.00
_symmetry_space_group_name_H-M 'P 1 21/m 1'
_symmetry_Int_Tables_number 11
loop_
_symmetry_equiv_pos_as_xyz
'x,y,z'
'-x,-y,-z'
'-x,y+1/2,-z'
'x,-y+1/2,z'
loop_
_atom_site_label
_atom_site_type_symbol
_atom_site_fract_x
_atom_site_fract_y
_atom_site_fract_z
La1 La 0.203 0.250 0.330
B1 B 0.104 0.750 0.026
Mo1 Mo 0.350 0.250 0.888
```

Most intense lines, 5 to 70 degrees two-theta, by intensity:
d_spacing	I (rel.)	(hkl)
2.660	100	1 1 0
2.455	66	0 1 2
3.133	63	1 0 -2
3.615	29	1 0 1
1.755	19	2 1 1
2.268	19	2 0 0
1.766	19	2 1 -2
2.278	15	2 0 -1
1.593	13	1 1 -4
1.453	12	1 2 -2

(2)
Diffraction record for LaBMo. The powder X-ray diffraction pattern is calculated, not measured: it uses a cell relaxed with GGA-PBE and Cu Kα.

Crystal structure
```
data_LaBMo
_cell_length_a 3.133
_cell_length_b 3.133
_cell_length_c 5.554
_cell_angle_alpha 90.00
_cell_angle_beta 90.00
_cell_angle_gamma 90.00
_symmetry_space_group_name_H-M 'P 4/m m m'
_symmetry_Int_Tables_number 123
_symmetry_space_group_name_Hall '-P 4 2'
loop_
_atom_site_label
_atom_site_type_symbol
_atom_site_fract_x
_atom_site_fract_y
_atom_site_fract_z
La1 La 0.000 0.000 0.000
B1 B 0.000 0.000 0.500
Mo1 Mo 0.500 0.500 0.500
```

Most intense lines, 5 to 70 degrees two-theta, by intensity:
d_spacing	I (rel.)	(hkl)
2.728	100	1 0 1
2.215	31	1 1 0
2.777	30	0 0 2
1.732	29	1 1 2
1.358	23	2 1 1
1.594	19	1 0 3
1.364	13	2 0 2
1.566	10	2 0 0
1.388	3	0 0 4
3.133	3	1 0 0

(3)
Diffraction record for LaB2N. The powder X-ray diffraction pattern is calculated, not measured: it uses a cell relaxed with GGA-PBE and Cu Kα.

Crystal structure
```
data_LaB2N
_cell_length_a 3.573
_cell_length_b 3.573
_cell_length_c 16.019
_cell_angle_alpha 90.00
_cell_angle_beta 90.00
_cell_angle_gamma 90.00
_symmetry_space_group_name_H-M 'I 41/a m d'
_symmetry_Int_Tables_number 141
loop_
_symmetry_equiv_pos_as_xyz
'x,y,z'
'-x,-y,-z'
'-y+1/4,x+3/4,z+1/4'
'y+1/4,-x+3/4,-z+1/4'
'-x+1/2,-y,z+1/2'
'x+1/2,y,-z+1/2'
'y+1/4,-x+1/4,z+3/4'
'-y+1/4,x+1/4,-z+3/4'
'x,-y,-z'
'-x,y,z'
'-y+1/4,-x+1/4,-z+3/4'
'y+1/4,x+1/4,z+3/4'
'-x+1/2,y,-z+1/2'
'x+1/2,-y,z+1/2'
'y+1/4,x+3/4,-z+1/4'
'-y+1/4,-x+3/4,z+1/4'
'x+1/2,y+1/2,z+1/2'
'-x+1/2,-y+1/2,-z+1/2'
'-y+3/4,x+1/4,z+3/4'
'y+3/4,-x+1/4,-z+3/4'
'-x,-y+1/2,z'
'x,y+1/2,-z'
'y+3/4,-x+3/4,z+1/4'
'-y+3/4,x+3/4,-z+1/4'
'x+1/2,-y+1/2,-z+1/2'
'-x+1/2,y+1/2,z+1/2'
'-y+3/4,-x+3/4,-z+1/4'
'y+3/4,x+3/4,z+1/4'
'-x,y+1/2,-z'
'x,-y+1/2,z'
'y+3/4,x+1/4,-z+3/4'
'-y+3/4,-x+1/4,z+3/4'
loop_
_atom_site_label
_atom_site_type_symbol
_atom_site_fract_x
_atom_site_fract_y
_atom_site_fract_z
La1 La 0.000 0.250 0.375
B1 B 0.000 0.000 0.000
N1 N 0.000 0.250 0.875
```

Most intense lines, 5 to 70 degrees two-theta, by intensity:
d_spacing	I (rel.)	(hkl)
2.410	100	1 1 2
4.005	75	0 0 4
2.970	72	1 0 3
3.488	71	1 0 1
1.835	43	1 1 6
2.385	39	1 0 5
1.632	29	2 0 4
1.590	23	2 1 1
1.787	20	2 0 0
2.002	17	0 0 8

(4)
Diffraction record for La3BN. The powder X-ray diffraction pattern is calculated, not measured: it uses a cell relaxed with GGA-PBE and Cu Kα.

Crystal structure
```
data_La3BN
_cell_length_a 4.948
_cell_length_b 4.948
_cell_length_c 4.948
_cell_angle_alpha 90.00
_cell_angle_beta 90.00
_cell_angle_gamma 90.00
_symmetry_space_group_name_H-M 'P m -3 m'
_symmetry_Int_Tables_number 221
_symmetry_space_group_name_Hall '-P 4 2 3'
loop_
_atom_site_label
_atom_site_type_symbol
_atom_site_fract_x
_atom_site_fract_y
_atom_site_fract_z
La1 La 0.000 0.000 0.500
B1 B 0.500 0.500 0.500
N1 N 0.000 0.000 0.000
```

Most intense lines, 5 to 70 degrees two-theta, by intensity:
d_spacing	I (rel.)	(hkl)
2.857	100	1 1 1
2.474	57	2 0 0
1.492	42	3 1 1
1.749	40	2 2 0
4.948	37	1 0 0
3.499	20	1 1 0
2.213	18	2 1 0
1.428	13	2 2 2
2.020	9	2 1 1
1.649	9	3 0 0

(5)
Diffraction record for La5B2N6. The powder X-ray diffraction pattern is calculated, not measured: it uses a cell relaxed with GGA-PBE and Cu Kα.

Crystal structure
```
data_La5B2N6
_cell_length_a 12.559
_cell_length_b 3.705
_cell_length_c 9.068
_cell_angle_alpha 90.00
_cell_angle_beta 105.61
_cell_angle_gamma 90.00
_symmetry_space_group_name_H-M 'C 1 2/m 1'
_symmetry_Int_Tables_number 12
loop_
_symmetry_equiv_pos_as_xyz
'x,y,z'
'-x,-y,-z'
'-x,y,-z'
'x,-y,z'
'x+1/2,y+1/2,z'
'-x+1/2,-y+1/2,-z'
'-x+1/2,y+1/2,-z'
'x+1/2,-y+1/2,z'
loop_
_atom_site_label
_atom_site_type_symbol
_atom_site_fract_x
_atom_site_fract_y
_atom_site_fract_z
La1 La 0.000 0.000 0.000
La2 La 0.125 0.500 0.375
La3 La 0.192 0.500 0.819
B1 B 0.055 0.000 0.589
N1 N 0.026 0.000 0.737
N2 N 0.156 0.500 0.077
N3 N 0.171 0.000 0.583
```

Most intense lines, 5 to 70 degrees two-theta, by intensity:
d_spacing	I (rel.)	(hkl)
2.864	100	1 1 -2
2.728	98	3 1 0
3.160	69	2 0 2
3.130	59	4 0 -1
2.952	56	2 0 -3
1.872	47	5 1 -3
1.611	43	3 1 -5
2.479	35	3 1 1
3.377	30	1 1 -1
1.797	29	1 1 4

(6)
Diffraction record for LaB6N6. The powder X-ray diffraction pattern is calculated, not measured: it uses a cell relaxed with GGA-PBE and Cu Kα.

Crystal structure
```
data_LaB6N6
_cell_length_a 4.718
_cell_length_b 4.718
_cell_length_c 4.718
_cell_angle_alpha 90.00
_cell_angle_beta 90.00
_cell_angle_gamma 90.00
_symmetry_space_group_name_H-M 'P m -3'
_symmetry_Int_Tables_number 200
_symmetry_space_group_name_Hall '-P 2 2 3'
loop_
_atom_site_label
_atom_site_type_symbol
_atom_site_fract_x
_atom_site_fract_y
_atom_site_fract_z
La1 La 0.000 0.000 0.000
B1 B 0.000 0.239 0.500
N1 N 0.000 0.500 0.250
```

Most intense lines, 5 to 70 degrees two-theta, by intensity:
d_spacing	I (rel.)	(hkl)
4.718	100	1 0 0
1.926	57	2 1 1
2.110	48	2 0 1
3.336	35	1 1 0
2.724	31	1 1 1
2.359	28	2 0 0
1.573	23	2 2 1
1.422	13	3 1 1
1.492	9	3 1 0
1.668	6	2 2 0

(7)
Diffraction record for LaNdBN3. The powder X-ray diffraction pattern is calculated, not measured: it uses a cell relaxed with GGA-PBE and Cu Kα.

Crystal structure
```
data_LaNdBN3
_cell_length_a 5.7029
_cell_length_b 5.7029
_cell_length_c 6.4234
_cell_angle_alpha 90.00
_cell_angle_beta 90.00
_cell_angle_gamma 120.00
_symmetry_space_group_name_H-M 'P 63/m m c'
_symmetry_Int_Tables_number 194
_symmetry_space_group_name_Hall '-P 6c 2c'
loop_
_atom_site_label
_atom_site_type_symbol
_atom_site_fract_x
_atom_site_fract_y
_atom_site_fract_z
La1 La 0.3333 0.6667 0.2500
Nd1 Nd 0.0000 0.0000 0.0000
B1 B 0.3333 0.6667 0.7500
N1 N 0.1854 0.3708 0.7500
```

Most intense lines, 5 to 70 degrees two-theta, by intensity:
d_spacing	I (rel.)	(hkl)
2.692	100	1 0 2
2.851	97	1 1 0
3.915	49	1 0 1
1.958	46	2 0 2
1.614	38	2 1 2
2.305	29	2 0 1
4.939	26	1 0 0
1.399	22	1 1 4
1.646	19	3 0 0
1.793	15	2 1 1

(8)
Diffraction record for La3PmB2N6. The powder X-ray diffraction pattern is calculated, not measured: it uses a cell relaxed with GGA-PBE and Cu Kα.

Crystal structure
```
data_La3PmB2N6
_cell_length_a 5.7175
_cell_length_b 5.7175
_cell_length_c 6.5211
_cell_angle_alpha 90.00
_cell_angle_beta 90.00
_cell_angle_gamma 120.00
_symmetry_space_group_name_H-M 'P -3 m 1'
_symmetry_Int_Tables_number 164
_symmetry_space_group_name_Hall '-P 3 2"'
loop_
_atom_site_label
_atom_site_type_symbol
_atom_site_fract_x
_atom_site_fract_y
_atom_site_fract_z
La1 La 0.0000 0.0000 0.0000
La2 La 0.3333 0.6667 0.6705
Pm1 Pm 0.0000 0.0000 0.5000
B1 B 0.3333 0.6667 0.2491
N1 N 0.1864 0.3727 0.2699
```

Most intense lines, 5 to 70 degrees two-theta, by intensity:
d_spacing	I (rel.)	(hkl)
2.859	100	1 1 0
2.723	98	0 1 2
1.972	46	2 0 2
3.944	42	1 0 1
1.623	37	1 2 2
2.315	26	0 2 1
4.951	25	1 0 0
1.650	19	3 0 0
6.521	19	0 0 1
1.549	16	1 0 4